(1)
Diffraction record for Na3Y3SnS8. The powder diffractogram is calculated, not measured: it uses a cell relaxed with GGA-PBE and Cu Kα.

Structure:
```
data_Na3Y3SnS8
_cell_length_a 7.8835
_cell_length_b 7.8835
_cell_length_c 20.3000
_cell_angle_alpha 90.00
_cell_angle_beta 90.00
_cell_angle_gamma 120.00
_space_group_name_H-M_alt 'R -3 m'
_space_group_IT_number 166
_space_group_name_Hall '-R 3 2"'
loop_
_atom_site_label
_atom_site_type_symbol
_atom_site_fract_x
_atom_site_fract_y
_atom_site_fract_z
_atom_site_occupancy
Na1 Na 0.0000 0.5000 0.0000 1
Y1 Y 0.0000 0.5000 0.5000 1
Sn1 Sn 0.0000 0.0000 0.5000 1
S1 S 0.0000 0.0000 0.2415 1
S2 S 0.0169 0.5085 0.2399 1
```

Largest 12 diffraction maxima, low angle first, 2θ from 10° to 90°:
hkl	2θ (°)	d_spacing	I/Imax
0 0 3	13.1	6.767	73
0 2 1	26.5	3.366	28
2 0 2	27.6	3.236	11
0 2 4	31.6	2.833	100
0 2 7	40.8	2.210	17
2 0 8	44.5	2.036	34
2 2 0	46.1	1.971	33
2 2 3	48.1	1.892	16
4 0 4	56.9	1.618	17
2 2 12	73.8	1.284	13
2 4 4	76.1	1.250	14
4 2 8	84.2	1.150	10

=====

(2)
Diffraction record for TmMg2Rh2. The powder diffractogram is calculated, not measured: it uses a cell relaxed with GGA-PBE and Cu Kα.

Structure:
```
data_TmMg2Rh2
_cell_length_a 3.2663
_cell_length_b 18.3079
_cell_length_c 3.2335
_cell_angle_alpha 90.00
_cell_angle_beta 90.00
_cell_angle_gamma 90.00
_space_group_name_H-M_alt 'C m m m'
_space_group_IT_number 65
_space_group_name_Hall '-C 2 2'
loop_
_atom_site_label
_atom_site_type_symbol
_atom_site_fract_x
_atom_site_fract_y
_atom_site_fract_z
_atom_site_occupancy
Tm1 Tm 0.0000 0.0000 0.0000 1
Mg1 Mg 0.0000 0.1745 0.0000 1
Rh1 Rh 0.0000 0.4053 0.5000 1
```

Largest 12 diffraction maxima, low angle first, 2θ from 10° to 90°:
hkl	2θ (°)	d_spacing	I/Imax
1 3 0	31.1	2.880	19
0 4 1	33.9	2.641	52
1 5 0	36.9	2.437	77
1 1 1	39.5	2.280	100
0 6 1	40.7	2.219	58
1 7 0	44.4	2.042	22
0 10 0	49.8	1.831	13
2 0 0	56.3	1.633	12
1 9 1	60.8	1.523	13
2 4 1	67.4	1.389	14
1 11 1	69.8	1.348	47
2 6 1	71.8	1.315	21

=====

(3)
Diffraction record for Er8Co3Bi2. The powder diffractogram is calculated, not measured: it uses a cell relaxed with GGA-PBE and Cu Kα.

Structure:
```
data_Er8Co3Bi2
_cell_length_a 16.0154
_cell_length_b 7.2213
_cell_length_c 6.5032
_cell_angle_alpha 90.00
_cell_angle_beta 102.22
_cell_angle_gamma 90.00
_space_group_name_H-M_alt 'C 1 2/m 1'
_space_group_IT_number 12
loop_
_space_group_symop_operation_xyz
'x,y,z'
'-x,-y,-z'
'-x,y,-z'
'x,-y,z'
'x+1/2,y+1/2,z'
'-x+1/2,-y+1/2,-z'
'-x+1/2,y+1/2,-z'
'x+1/2,-y+1/2,z'
loop_
_atom_site_label
_atom_site_type_symbol
_atom_site_fract_x
_atom_site_fract_y
_atom_site_fract_z
_atom_site_occupancy
Er1 Er 0.0776 0.0000 0.3696 1
Er2 Er 0.0993 0.2568 0.8714 1
Er3 Er 0.1158 0.5000 0.3699 1
Co1 Co 0.0000 0.2966 0.5000 1
Co2 Co 0.0000 0.5000 0.0000 1
Bi1 Bi 0.2397 0.0000 0.1845 1
```

Largest 12 diffraction maxima, low angle first, 2θ from 10° to 90°:
hkl	2θ (°)	d_spacing	I/Imax
1 1 1	20.3	4.374	29
3 1 -1	23.2	3.838	34
0 2 1	28.4	3.139	26
2 2 -1	29.5	3.025	30
5 1 -1	31.6	2.832	25
2 2 1	31.8	2.814	90
4 0 -2	32.3	2.768	37
2 0 2	32.6	2.749	73
6 0 0	34.4	2.609	33
4 2 -1	34.7	2.584	100
2 2 -3	49.1	1.856	49
0 4 0	50.6	1.805	27

=====

(4)
Diffraction record for Na2YH. The powder diffractogram is calculated, not measured: it uses a cell relaxed with GGA-PBE and Cu Kα.

Structure:
```
data_Na2YH
_cell_length_a 6.7743
_cell_length_b 6.7743
_cell_length_c 9.5993
_cell_angle_alpha 90.00
_cell_angle_beta 90.00
_cell_angle_gamma 90.00
_space_group_name_H-M_alt 'I -4 2 d'
_space_group_IT_number 122
_space_group_name_Hall 'I -4 2bw'
loop_
_atom_site_label
_atom_site_type_symbol
_atom_site_fract_x
_atom_site_fract_y
_atom_site_fract_z
_atom_site_occupancy
Na1 Na 0.0010 0.2500 0.1250 1
Y1 Y 0.0000 0.0000 0.5000 1
H1 H 0.0000 0.0000 0.0000 1
```

Largest 12 diffraction maxima, low angle first, 2θ from 10° to 90°:
hkl	2θ (°)	d_spacing	I/Imax
1 0 1	16.0	5.535	32
2 0 0	26.3	3.389	86
2 1 1	30.9	2.890	100
2 0 2	32.3	2.767	9
3 0 1	41.0	2.199	9
3 1 2	46.4	1.957	35
3 2 1	49.4	1.845	35
4 0 0	54.1	1.695	25
4 2 0	61.2	1.515	10
4 1 3	63.6	1.462	12
5 1 2	74.0	1.281	16
5 2 1	76.3	1.247	11

=====

(5)
Diffraction record for Mg2BeAu5. The powder diffractogram is calculated, not measured: it uses a cell relaxed with GGA-PBE and Cu Kα.

Structure:
```
data_Mg2BeAu5
_cell_length_a 5.5715
_cell_length_b 11.1570
_cell_length_c 4.3275
_cell_angle_alpha 90.00
_cell_angle_beta 90.00
_cell_angle_gamma 90.00
_space_group_name_H-M_alt 'P b a m'
_space_group_IT_number 55
loop_
_space_group_symop_operation_xyz
'x,y,z'
'-x,-y,-z'
'-x,-y,z'
'x,y,-z'
'x+1/2,-y+1/2,-z'
'-x+1/2,y+1/2,z'
'-x+1/2,y+1/2,-z'
'x+1/2,-y+1/2,z'
loop_
_atom_site_label
_atom_site_type_symbol
_atom_site_fract_x
_atom_site_fract_y
_atom_site_fract_z
_atom_site_occupancy
Mg1 Mg 0.1771 0.1476 0.0000 1
Be1 Be 0.0000 0.5000 0.5000 1
Au1 Au 0.0000 0.0000 0.5000 1
Au2 Au 0.0405 0.7248 0.5000 1
Au3 Au 0.1833 0.4095 0.0000 1
```

Largest 12 diffraction maxima, low angle first, 2θ from 10° to 90°:
hkl	2θ (°)	d_spacing	I/Imax
1 2 0	22.6	3.942	17
0 2 1	26.1	3.419	20
1 1 1	27.3	3.268	22
1 3 0	28.9	3.093	20
1 2 1	30.7	2.914	26
1 3 1	35.7	2.516	24
1 4 0	36.0	2.494	15
2 0 1	38.4	2.343	100
2 1 1	39.3	2.292	20
0 0 2	41.8	2.163	38
2 4 0	46.0	1.971	20
2 4 2	63.9	1.457	19

=====

(6)
Diffraction record for CeCrB14. The powder diffractogram is calculated, not measured: it uses a cell relaxed with GGA-PBE and Cu Kα.

Structure:
```
data_CeCrB14
_cell_length_a 5.8385
_cell_length_b 10.7778
_cell_length_c 8.2642
_cell_angle_alpha 90.00
_cell_angle_beta 90.00
_cell_angle_gamma 90.00
_space_group_name_H-M_alt 'I m m a'
_space_group_IT_number 74
_space_group_name_Hall '-I 2b 2'
loop_
_atom_site_label
_atom_site_type_symbol
_atom_site_fract_x
_atom_site_fract_y
_atom_site_fract_z
_atom_site_occupancy
Ce1 Ce 0.0000 0.2500 0.1274 1
Cr1 Cr 0.2500 0.2500 0.7500 1
B1 B 0.0000 0.0834 0.6695 1
B2 B 0.0000 0.1281 0.8671 1
B3 B 0.0000 0.1670 0.4690 1
B4 B 0.1610 0.0615 0.3398 1
B5 B 0.2485 0.0778 0.5489 1
```

Largest 12 diffraction maxima, low angle first, 2θ from 10° to 90°:
hkl	2θ (°)	d_spacing	I/Imax
0 2 0	16.4	5.389	99
1 0 1	18.6	4.769	35
1 2 1	24.9	3.571	74
1 1 2	27.7	3.219	83
2 1 1	33.6	2.668	100
1 3 2	36.5	2.459	61
1 4 1	38.4	2.346	23
1 2 3	39.9	2.261	40
2 3 1	41.3	2.185	87
1 5 2	50.2	1.816	24
2 5 1	54.0	1.697	27
2 2 4	57.2	1.609	24

=====

(7)
Diffraction record for Er3InHg12. The powder diffractogram is calculated, not measured: it uses a cell relaxed with GGA-PBE and Cu Kα.

Structure:
```
data_Er3InHg12
_cell_length_a 4.4615
_cell_length_b 4.7181
_cell_length_c 18.5613
_cell_angle_alpha 90.00
_cell_angle_beta 90.00
_cell_angle_gamma 90.00
_space_group_name_H-M_alt 'P m m m'
_space_group_IT_number 47
loop_
_space_group_symop_operation_xyz
'x,y,z'
'-x,-y,-z'
'-x,-y,z'
'x,y,-z'
'x,-y,-z'
'-x,y,z'
'-x,y,-z'
'x,-y,z'
loop_
_atom_site_label
_atom_site_type_symbol
_atom_site_fract_x
_atom_site_fract_y
_atom_site_fract_z
_atom_site_occupancy
Er1 Er 0.0000 0.0000 0.0000 1
Er2 Er 0.0000 0.0000 0.2515 1
In1 In 0.0000 0.0000 0.5000 1
Hg1 Hg 0.0000 0.5000 0.1225 1
Hg2 Hg 0.0000 0.5000 0.3694 1
Hg3 Hg 0.5000 0.0000 0.1234 1
Hg4 Hg 0.5000 0.0000 0.3716 1
Hg5 Hg 0.5000 0.5000 0.0000 1
Hg6 Hg 0.5000 0.5000 0.2412 1
Hg7 Hg 0.5000 0.5000 0.5000 1
```

Largest 12 diffraction maxima, low angle first, 2θ from 10° to 90°:
hkl	2θ (°)	d_spacing	I/Imax
1 1 4	33.7	2.657	100
0 2 0	38.1	2.359	18
0 0 8	38.8	2.320	17
2 0 0	40.4	2.231	15
0 2 8	55.6	1.654	12
2 2 0	56.8	1.621	12
2 0 8	57.3	1.608	11
1 3 4	66.1	1.413	15
1 1 12	67.0	1.396	13
3 1 4	69.3	1.356	13
2 2 8	70.9	1.329	12
0 4 0	81.6	1.180	2

=====

(8)
Diffraction record for LiAcDyS3. The powder diffractogram is calculated, not measured: it uses a cell relaxed with GGA-PBE and Cu Kα.

Structure:
```
data_LiAcDyS3
_cell_length_a 8.3172
_cell_length_b 3.9754
_cell_length_c 8.6835
_cell_angle_alpha 90.00
_cell_angle_beta 104.21
_cell_angle_gamma 90.00
_space_group_name_H-M_alt 'P 1 21/m 1'
_space_group_IT_number 11
loop_
_space_group_symop_operation_xyz
'x,y,z'
'-x,-y,-z'
'-x,y+1/2,-z'
'x,-y+1/2,z'
loop_
_atom_site_label
_atom_site_type_symbol
_atom_site_fract_x
_atom_site_fract_y
_atom_site_fract_z
_atom_site_occupancy
Li1 Li 0.0889 0.2500 0.0885 1
Ac1 Ac 0.1914 0.2500 0.7278 1
Dy1 Dy 0.3355 0.7500 0.3419 1
S1 S 0.1047 0.2500 0.3651 1
S2 S 0.2093 0.7500 0.0101 1
S3 S 0.4410 0.7500 0.6722 1
```

Largest 12 diffraction maxima, low angle first, 2θ from 10° to 90°:
hkl	2θ (°)	d_spacing	I/Imax
0 0 1	10.5	8.418	33
0 0 2	21.1	4.209	34
2 0 0	22.0	4.036	42
0 1 1	24.8	3.595	59
2 0 -2	26.6	3.351	20
2 1 -1	31.6	2.833	100
0 0 3	31.9	2.806	21
2 1 -3	41.2	2.190	23
2 1 2	41.4	2.181	24
4 0 -1	43.5	2.078	21
0 2 0	45.6	1.988	16
4 1 0	50.8	1.797	16

=====

(9)
Diffraction record for Th2H2Au3. The powder diffractogram is calculated, not measured: it uses a cell relaxed with GGA-PBE and Cu Kα.

Structure:
```
data_Th2H2Au3
_cell_length_a 9.5754
_cell_length_b 3.9009
_cell_length_c 7.5376
_cell_angle_alpha 90.00
_cell_angle_beta 110.38
_cell_angle_gamma 90.00
_space_group_name_H-M_alt 'C 1 2/m 1'
_space_group_IT_number 12
loop_
_space_group_symop_operation_xyz
'x,y,z'
'-x,-y,-z'
'-x,y,-z'
'x,-y,z'
'x+1/2,y+1/2,z'
'-x+1/2,-y+1/2,-z'
'-x+1/2,y+1/2,-z'
'x+1/2,-y+1/2,z'
loop_
_atom_site_label
_atom_site_type_symbol
_atom_site_fract_x
_atom_site_fract_y
_atom_site_fract_z
_atom_site_occupancy
Th1 Th 0.1432 0.0000 0.2717 1
H1 H 0.2367 0.0000 0.5953 1
Au1 Au 0.0000 0.5000 0.5000 1
Au2 Au 0.1250 0.5000 0.9307 1
```

Largest 12 diffraction maxima, low angle first, 2θ from 10° to 90°:
hkl	2θ (°)	d_spacing	I/Imax
1 1 -1	26.3	3.387	26
1 1 1	29.5	3.027	45
1 1 -2	33.1	2.709	30
2 0 -3	36.4	2.467	100
2 0 2	37.5	2.399	20
4 0 -1	37.6	2.393	19
1 1 2	38.2	2.356	44
3 1 -2	39.4	2.285	24
0 2 0	46.6	1.951	25
2 2 -3	60.5	1.531	21
2 2 2	61.3	1.513	19
5 1 1	62.4	1.489	19

=====

(10)
Diffraction record for GdHoRh2. The powder diffractogram is calculated, not measured: it uses a cell relaxed with GGA-PBE and Cu Kα.

Structure:
```
data_GdHoRh2
_cell_length_a 3.3801
_cell_length_b 3.3801
_cell_length_c 7.0980
_cell_angle_alpha 90.00
_cell_angle_beta 90.00
_cell_angle_gamma 90.00
_space_group_name_H-M_alt 'P 4/m m m'
_space_group_IT_number 123
_space_group_name_Hall '-P 4 2'
loop_
_atom_site_label
_atom_site_type_symbol
_atom_site_fract_x
_atom_site_fract_y
_atom_site_fract_z
_atom_site_occupancy
Gd1 Gd 0.0000 0.0000 0.0000 1
Ho1 Ho 0.0000 0.0000 0.5000 1
Rh1 Rh 0.5000 0.5000 0.2558 1
```

Largest 12 diffraction maxima, low angle first, 2θ from 10° to 90°:
hkl	2θ (°)	d_spacing	I/Imax
0 0 2	25.1	3.549	3
1 0 0	26.4	3.380	5
1 0 2	36.7	2.448	100
1 1 0	37.6	2.390	47
1 1 2	45.8	1.982	2
0 0 4	51.5	1.775	9
2 0 0	54.3	1.690	16
1 1 4	65.5	1.425	18
2 1 2	67.3	1.391	34
2 0 4	78.1	1.224	11
2 2 0	80.3	1.195	5
1 0 6	87.3	1.117	8